Diffraction record for Ac2CeRuN4. The powder XRD pattern is simulated, not measured: it uses the PBE geometry in Alexandria and Cu Ka.
Intensities are scaled so that the largest is 100.

Structural model:
a b c (Å): 3.5151 12.1907 12.7212
angles (deg): 90.00 90.00 90.00
Space group Cmcm (No. 63)
Inequivalent atoms, fractional coordinates:
Ac (0.0000, 0.1337, 0.0505) (multiplicity 8)
Ce (0.0000, 0.3923, 0.2500) (multiplicity 4)
Ru (0.0000, 0.3415, 0.7500) (multiplicity 4)
N (0.0000, 0.0540, 0.2500) (multiplicity 4)
N (0.0000, 0.2106, 0.6488) (multiplicity 8)
N (0.0000, 0.5000, 0.0000) (multiplicity 4)

Principal peaks in the range 2θ from 5° to 70°, low angle first:
(0 2 3), 25.59 deg, d 3.481, I 79; (0 0 4), 28.06 deg, d 3.180, I 31; (0 4 0), 29.30 deg, d 3.048, I 67; (1 1 2), 29.95 deg, d 2.983, I 100; (1 1 3), 33.93 deg, d 2.642, I 34; (1 3 1), 34.47 deg, d 2.602, I 24; (1 3 2), 36.64 deg, d 2.453, I 93; (0 2 5), 38.34 deg, d 2.348, I 33; (1 1 5), 44.59 deg, d 2.032, I 33; (1 5 3), 50.38 deg, d 1.811, I 27

Diffraction record for Zr3Mo2. The powder XRD pattern is simulated, not measured: it uses the PBE geometry in Alexandria and Cu Ka.
Intensities are scaled so that the largest is 100.

Structural model:
a b c (Å): 3.2734 3.2734 32.6150
angles (deg): 90.00 90.00 120.00
Space group R-3m (No. 166, hexagonal axes)
Inequivalent atoms, fractional coordinates:
Zr (0.0000, 0.0000, 0.0000) (multiplicity 3)
Zr (0.0000, 0.0000, 0.2069) (multiplicity 6)
Mo (0.0000, 0.0000, 0.3985) (multiplicity 6)

Principal peaks in the range 2θ from 5° to 70°, low angle first:
(0 0 3), 8.13 deg, d 10.872, I 2; (0 0 6), 16.31 deg, d 5.436, I 2; (0 1 5), 34.50 deg, d 2.600, I 100; (0 0 15), 41.53 deg, d 2.174, I 17; (1 0 10), 42.24 deg, d 2.140, I 53; (0 1 11), 44.20 deg, d 2.049, I 1; (1 0 13), 48.45 deg, d 1.879, I 2; (1 1 0), 56.20 deg, d 1.637, I 24; (0 1 20), 66.10 deg, d 1.414, I 11; (2 0 5), 67.64 deg, d 1.385, I 13

Diffraction record for CsAl2AuI8. The powder XRD pattern is simulated, not measured: it uses the PBE geometry in Alexandria and Cu Ka.
Intensities are scaled so that the largest is 100.

Structural model:
a b c (Å): 7.4998 7.4998 10.7714
angles (deg): 90.00 90.00 120.00
Space group P-3 (No. 147)
Inequivalent atoms, fractional coordinates:
Cs (0.0000, 0.0000, 0.0000) (multiplicity 1)
Al (0.3333, 0.6667, 0.7446) (multiplicity 2)
Au (0.0000, 0.0000, 0.5000) (multiplicity 1)
I (0.0124, 0.3327, 0.6709) (multiplicity 6)
I (0.3333, 0.6667, 0.9827) (multiplicity 2)

Principal peaks in the range 2θ from 5° to 70°, low angle first:
(0 1 1), 15.93 deg, d 5.562, I 25; (0 0 3), 24.80 deg, d 3.590, I 26; (1 1 1), 25.15 deg, d 3.541, I 81; (2 -1 2), 29.02 deg, d 3.077, I 100; (1 1 4), 41.27 deg, d 2.187, I 43; (3 0 0), 41.72 deg, d 2.165, I 43; (3 0 3), 49.14 deg, d 1.854, I 23; (2 2 2), 51.62 deg, d 1.771, I 19; (3 0 6), 67.82 deg, d 1.382, I 17; (5 -1 2), 68.45 deg, d 1.371, I 16